# RbLiInBr3
Simulated XRD peak list, Cu Ka. Input: a GGA-PBE-relaxed structure.
Intensities are scaled so that the largest is 100.

Structural model:
Unit cell a=10.119 b=4.491 c=10.209 alpha=90.00 beta=96.28 gamma=90.00
Space group P2_1/m (No. 11)
Asymmetric unit:
Rb 0.192 0.250 0.153
Li 0.408 0.750 0.908
In 0.171 0.250 0.632
Br 0.131 0.750 0.395
Br 0.159 0.750 0.882
Br 0.485 0.750 0.157

Top 10 peaks for 2θ = 15–90°, sorted by position:
- hkl 3 0 0, 3.358 Å, I 100
- hkl 1 1 -2, 3.261 Å, I 56
- hkl 1 1 2, 3.120 Å, I 24
- hkl 2 1 2, 2.706 Å, I 30
- hkl 0 0 4, 2.537 Å, I 23
- hkl 3 1 -2, 2.465 Å, I 18
- hkl 3 1 2, 2.293 Å, I 13
- hkl 0 2 0, 2.245 Å, I 20
- hkl 3 2 0, 1.866 Å, I 19
- hkl 0 2 4, 1.682 Å, I 13